1.
Diffraction record for Mn2Ni3As3. The powder X-ray diffraction pattern is simulated, not measured: it uses a crystal structure in Alexandria, relaxed with PBE and Cu Kα X-rays.
Kinematic intensities with the Lorentz-polarization factor, no thermal factor.

Principal peaks in the range 2θ from 15° to 90°, sorted by position:
2θ (°)  Rel. int.
25.37  17
33.12  29
42.18  92
44.71  100
56.76  32
63.15  24
80.66  21
86.53  32

Crystal structure
Unit cell a=7.021 b=7.021 c=5.409 alpha=90.00 beta=90.00 gamma=120.00
Sites, in units of the cell vectors:
Mn 0.333 0.667 0.000
Mn 0.333 0.667 0.500
Mn 0.667 0.333 0.000
Mn 0.667 0.333 0.500
Ni 0.000 0.354 0.250
Ni 0.000 0.646 0.750
Ni 0.354 0.000 0.250
Ni 0.354 0.354 0.750
Ni 0.646 0.000 0.750
Ni 0.646 0.646 0.250
As 0.000 0.312 0.750
As 0.000 0.688 0.250
As 0.312 0.000 0.750
As 0.312 0.312 0.250
As 0.688 0.000 0.250
As 0.688 0.688 0.750

=====

2.
Diffraction record for Mn6Ni16As7. The powder X-ray diffraction pattern is simulated, not measured: it uses a crystal structure in Alexandria, relaxed with PBE and Cu Kα X-rays.
Kinematic intensities with the Lorentz-polarization factor, no thermal factor.

Principal peaks in the range 2θ from 15° to 90°, sorted by position:
2θ (°)  Rel. int.
38.88  16
41.34  56
45.20  100
47.40  24
48.11  12
53.57  23
83.47  13
85.06  17

Crystal structure
Unit cell a=8.024 b=8.024 c=8.024 alpha=60.00 beta=60.00 gamma=60.00
Sites, in units of the cell vectors:
Mn 0.188 0.188 0.812
Mn 0.188 0.812 0.188
Mn 0.188 0.812 0.812
Mn 0.812 0.188 0.188
Mn 0.812 0.188 0.812
Mn 0.812 0.812 0.188
Ni 0.147 0.618 0.618
Ni 0.164 0.164 0.164
Ni 0.164 0.164 0.508
Ni 0.164 0.508 0.164
Ni 0.382 0.382 0.382
Ni 0.382 0.382 0.853
Ni 0.382 0.853 0.382
Ni 0.492 0.836 0.836
Ni 0.508 0.164 0.164
Ni 0.618 0.147 0.618
Ni 0.618 0.618 0.147
Ni 0.618 0.618 0.618
Ni 0.836 0.492 0.836
Ni 0.836 0.836 0.492
Ni 0.836 0.836 0.836
Ni 0.853 0.382 0.382
As 0.000 0.000 0.500
As 0.000 0.500 0.000
As 0.000 0.500 0.500
As 0.500 0.000 0.000
As 0.500 0.000 0.500
As 0.500 0.500 0.000
As 0.500 0.500 0.500

=====

3.
Diffraction record for MnNi6As. The powder X-ray diffraction pattern is simulated, not measured: it uses a crystal structure in Alexandria, relaxed with PBE and Cu Kα X-rays.
Kinematic intensities with the Lorentz-polarization factor, no thermal factor.

Principal peaks in the range 2θ from 15° to 90°, sorted by position:
2θ (°)  Rel. int.
17.51  1
30.63  1
43.83  100
51.02  31
51.13  15
75.10  27

Crystal structure
Unit cell a=5.063 b=5.063 c=3.573 alpha=90.00 beta=90.00 gamma=90.00
Sites, in units of the cell vectors:
Mn 0.000 0.000 0.000
Ni 0.000 0.500 0.000
Ni 0.248 0.248 0.500
Ni 0.248 0.752 0.500
Ni 0.500 0.000 0.000
Ni 0.752 0.248 0.500
Ni 0.752 0.752 0.500
As 0.500 0.500 0.000

=====

4.
Diffraction record for Np2MnNi12As3. The powder X-ray diffraction pattern is simulated, not measured: it uses a crystal structure in Alexandria, relaxed with PBE and Cu Kα X-rays.
Kinematic intensities with the Lorentz-polarization factor, no thermal factor.

Principal peaks in the range 2θ from 15° to 90°, sorted by position:
2θ (°)  Rel. int.
25.61  31
33.48  23
35.91  19
39.11  45
43.16  100
50.16  42
59.65  22
68.29  17

Crystal structure
Unit cell a=6.309 b=6.309 c=6.309 alpha=83.27 beta=83.27 gamma=83.27
Sites, in units of the cell vectors:
Np 0.095 0.095 0.095
Np 0.905 0.905 0.905
Mn 0.500 0.500 0.500
Ni 0.123 0.123 0.562
Ni 0.123 0.562 0.123
Ni 0.184 0.694 0.694
Ni 0.306 0.306 0.816
Ni 0.306 0.816 0.306
Ni 0.438 0.877 0.877
Ni 0.562 0.123 0.123
Ni 0.694 0.184 0.694
Ni 0.694 0.694 0.184
Ni 0.816 0.306 0.306
Ni 0.877 0.438 0.877
Ni 0.877 0.877 0.438
As 0.000 0.500 0.500
As 0.500 0.000 0.500
As 0.500 0.500 0.000

=====

5.
Diffraction record for MnNi7As2P2. The powder X-ray diffraction pattern is simulated, not measured: it uses a crystal structure in Alexandria, relaxed with PBE and Cu Kα X-rays.
Kinematic intensities with the Lorentz-polarization factor, no thermal factor.

Principal peaks in the range 2θ from 15° to 90°, sorted by position:
2θ (°)  Rel. int.
37.07  87
38.85  49
41.67  89
45.38  44
46.52  35
49.82  100
52.51  98
72.74  34

Crystal structure
Unit cell a=3.485 b=3.485 c=13.883 alpha=97.16 beta=97.16 gamma=90.00
Sites, in units of the cell vectors:
Mn 0.000 0.000 0.000
Ni 0.068 0.568 0.137
Ni 0.302 0.302 0.604
Ni 0.432 0.932 0.863
Ni 0.500 0.500 0.000
Ni 0.568 0.068 0.137
Ni 0.698 0.698 0.396
Ni 0.932 0.432 0.863
As 0.213 0.213 0.428
As 0.787 0.787 0.572
P 0.383 0.383 0.764
P 0.617 0.617 0.236